Entry 1:
Starting from a PBE-relaxed structure, the PXRD pattern of Er2USe5 was computed for Cu Kα, 1.54184 Å.
Kinematic intensities with the Lorentz-polarization factor, no thermal factor.

Main lines, in order of falling intensity (5° ≤ 2θ ≤ 70°):
| Position (°2θ) | I/Imax |
| --- | --- |
| 37.22 | 100 |
| 32.09 | 56 |
| 18.76 | 53 |
| 25.50 | 40 |
| 35.29 | 37 |
| 48.44 | 30 |
| 60.61 | 25 |
| 30.10 | 19 |
| 37.43 | 19 |
| 40.26 | 14 |

Structure:
Unit cell a=8.9768 b=8.1237 c=5.4907 alpha=79.96 beta=63.01 gamma=37.03
Atoms (fractional coordinates):
Er 0.1810 0.1810 0.8190
Er 0.8190 0.8190 0.1810
U 0.5000 0.5000 0.5000
Se 0.0000 0.0000 0.0000
Se 0.1794 0.5093 0.4907
Se 0.4907 0.8206 0.1794
Se 0.5093 0.1794 0.8206
Se 0.8206 0.4907 0.5093

---

Entry 2:
Starting from a PBE-relaxed structure, the PXRD pattern of UZnGeN was computed for Cu Kα, 1.54184 Å.
Kinematic intensities with the Lorentz-polarization factor, no thermal factor.

Main lines, in order of falling intensity (5° ≤ 2θ ≤ 70°):
| Position (°2θ) | I/Imax |
| --- | --- |
| 31.14 | 100 |
| 57.09 | 37 |
| 34.18 | 36 |
| 46.57 | 34 |
| 32.46 | 29 |
| 38.94 | 23 |
| 54.56 | 23 |
| 25.13 | 23 |
| 39.34 | 20 |
| 10.42 | 19 |

Structure:
Unit cell a=3.9006 b=3.9006 c=8.4887 alpha=90.00 beta=90.00 gamma=90.00
Atoms (fractional coordinates):
U 0.2500 0.2500 0.1361
U 0.7500 0.7500 0.8639
Zn 0.2500 0.7500 0.5000
Zn 0.7500 0.2500 0.5000
Ge 0.2500 0.2500 0.6983
Ge 0.7500 0.7500 0.3017
N 0.2500 0.7500 0.0000
N 0.7500 0.2500 0.0000

---

Entry 3:
Starting from a PBE-relaxed structure, the PXRD pattern of Pr3Zn2In3 was computed for Cu Kα, 1.54184 Å.
Kinematic intensities with the Lorentz-polarization factor, no thermal factor.

Main lines, in order of falling intensity (5° ≤ 2θ ≤ 70°):
| Position (°2θ) | I/Imax |
| --- | --- |
| 30.51 | 100 |
| 37.92 | 46 |
| 34.86 | 46 |
| 38.08 | 42 |
| 30.83 | 42 |
| 31.66 | 29 |
| 32.46 | 24 |
| 34.08 | 18 |
| 51.89 | 16 |
| 50.20 | 16 |

Structure:
Unit cell a=6.1298 b=6.1298 c=15.7836 alpha=90.00 beta=90.00 gamma=134.45
Atoms (fractional coordinates):
Pr 0.0905 0.9095 0.6095
Pr 0.0905 0.9095 0.8905
Pr 0.3626 0.6374 0.7500
Pr 0.6374 0.3626 0.2500
Pr 0.9095 0.0905 0.1095
Pr 0.9095 0.0905 0.3905
Zn 0.2062 0.7938 0.1023
Zn 0.2062 0.7938 0.3977
Zn 0.7938 0.2062 0.6023
Zn 0.7938 0.2062 0.8977
In 0.3442 0.6558 0.2500
In 0.3802 0.6198 0.5389
In 0.3802 0.6198 0.9611
In 0.6198 0.3802 0.0389
In 0.6198 0.3802 0.4611
In 0.6558 0.3442 0.7500